# 1
Structure and computed XRD peak list of Li2PrGe (a cell relaxed with PBE; Cu Kα).

Main lines, in order of rising 2θ (2θ = 5–70°):
Position (°2θ)	d [Å]	I (rel.)
25.2	3.539	100.0
29.9	2.985	92.5
36.6	2.454	45.3
37.3	2.408	19.6
41.1	2.197	49.5
51.7	1.769	19.9
56.7	1.623	34.6
68.0	1.378	17.2

Cell lengths 4.393, 4.393, 9.632 Å; angles 90.00, 90.00, 120.00 degrees
Positions (direct):
Li (0.333, 0.667, 0.064)
Li (0.333, 0.667, 0.436)
Li (0.667, 0.333, 0.564)
Li (0.667, 0.333, 0.936)
Pr (0.333, 0.667, 0.750)
Pr (0.667, 0.333, 0.250)
Ge (0.000, 0.000, 0.000)
Ge (0.000, 0.000, 0.500)

# 2
Structure and computed XRD peak list of Li8Pr7Ge10 (a cell relaxed with PBE; Cu Kα).

Main lines, in order of rising 2θ (2θ = 5–70°):
Position (°2θ)	d [Å]	I (rel.)
22.4	3.965	19.4
25.6	3.483	26.6
31.8	2.811	18.3
33.0	2.712	71.0
33.7	2.658	100.0
40.4	2.235	27.2
43.2	2.092	18.3
48.4	1.880	16.4

Cell lengths 17.253, 17.253, 4.470 Å; angles 90.00, 90.00, 156.71 degrees
Positions (direct):
Li (0.043, 0.331, 0.000)
Li (0.237, 0.387, 0.500)
Li (0.331, 0.043, 0.000)
Li (0.387, 0.237, 0.500)
Li (0.613, 0.763, 0.500)
Li (0.669, 0.957, 0.000)
Li (0.763, 0.613, 0.500)
Li (0.957, 0.669, 0.000)
Pr (0.058, 0.942, 0.000)
Pr (0.221, 0.779, 0.500)
Pr (0.339, 0.661, 0.500)
Pr (0.500, 0.500, 0.000)
Pr (0.661, 0.339, 0.500)
Pr (0.779, 0.221, 0.500)
Pr (0.942, 0.058, 0.000)
Ge (0.102, 0.533, 0.000)
Ge (0.127, 0.873, 0.500)
Ge (0.184, 0.184, 0.500)
Ge (0.406, 0.594, 0.000)
Ge (0.467, 0.898, 0.000)
Ge (0.533, 0.102, 0.000)
Ge (0.594, 0.406, 0.000)
Ge (0.816, 0.816, 0.500)
Ge (0.873, 0.127, 0.500)
Ge (0.898, 0.467, 0.000)

# 3
Structure and computed XRD peak list of Li2Sm2Ge3 (a cell relaxed with PBE; Cu Kα).

Main lines, in order of rising 2θ (2θ = 5–70°):
Position (°2θ)	d [Å]	I (rel.)
9.5	9.298	23.9
24.8	3.586	16.8
25.7	3.462	23.2
31.6	2.829	18.5
33.3	2.691	74.9
34.1	2.627	100.0
41.1	2.198	28.1
43.8	2.067	19.7

Cell lengths 9.555, 9.555, 6.924 Å; angles 90.00, 90.00, 153.40 degrees
Positions (direct):
Li (0.191, 0.809, 0.563)
Li (0.191, 0.809, 0.937)
Li (0.809, 0.191, 0.063)
Li (0.809, 0.191, 0.437)
Sm (0.343, 0.657, 0.750)
Sm (0.448, 0.552, 0.250)
Sm (0.552, 0.448, 0.750)
Sm (0.657, 0.343, 0.250)
Ge (0.062, 0.938, 0.067)
Ge (0.062, 0.938, 0.433)
Ge (0.280, 0.720, 0.250)
Ge (0.720, 0.280, 0.750)
Ge (0.938, 0.062, 0.567)
Ge (0.938, 0.062, 0.933)

# 4
Structure and computed XRD peak list of LiSmGe2 (a cell relaxed with PBE; Cu Kα).

Main lines, in order of rising 2θ (2θ = 5–70°):
Position (°2θ)	d [Å]	I (rel.)
14.1	6.279	53.9
22.8	3.906	30.2
27.8	3.208	38.3
32.2	2.780	100.0
34.1	2.630	45.8
36.0	2.492	82.8
45.8	1.979	30.5
64.8	1.439	30.2

Cell lengths 7.812, 3.958, 10.555 Å; angles 90.00, 90.00, 90.00 degrees
Positions (direct):
Li (0.013, 0.250, 0.108)
Li (0.487, 0.750, 0.608)
Li (0.513, 0.250, 0.392)
Li (0.987, 0.750, 0.892)
Sm (0.139, 0.750, 0.364)
Sm (0.361, 0.250, 0.864)
Sm (0.639, 0.750, 0.136)
Sm (0.861, 0.250, 0.636)
Ge (0.153, 0.750, 0.686)
Ge (0.227, 0.750, 0.065)
Ge (0.273, 0.250, 0.565)
Ge (0.347, 0.250, 0.186)
Ge (0.653, 0.750, 0.814)
Ge (0.727, 0.750, 0.435)
Ge (0.773, 0.250, 0.935)
Ge (0.847, 0.250, 0.314)

# 5
Structure and computed XRD peak list of SrLiGe2 (a cell relaxed with PBE; Cu Kα).

Main lines, in order of rising 2θ (2θ = 5–70°):
Position (°2θ)	d [Å]	I (rel.)
24.6	3.623	65.1
28.0	3.188	76.5
30.8	2.906	64.4
31.8	2.813	100.0
33.0	2.718	69.4
40.2	2.246	50.1
44.3	2.044	45.3
44.8	2.021	50.0

Cell lengths 7.217, 4.491, 11.625 Å; angles 90.00, 90.00, 90.00 degrees
Positions (direct):
Sr (0.137, 0.250, 0.145)
Sr (0.363, 0.750, 0.645)
Sr (0.637, 0.250, 0.355)
Sr (0.863, 0.750, 0.855)
Li (0.124, 0.250, 0.439)
Li (0.376, 0.750, 0.939)
Li (0.624, 0.250, 0.061)
Li (0.876, 0.750, 0.561)
Ge (0.036, 0.250, 0.661)
Ge (0.191, 0.250, 0.857)
Ge (0.309, 0.750, 0.357)
Ge (0.464, 0.750, 0.161)
Ge (0.536, 0.250, 0.839)
Ge (0.691, 0.250, 0.643)
Ge (0.809, 0.750, 0.143)
Ge (0.964, 0.750, 0.339)

# 6
Structure and computed XRD peak list of Sr2LiGe3 (a cell relaxed with PBE; Cu Kα).

Main lines, in order of rising 2θ (2θ = 5–70°):
Position (°2θ)	d [Å]	I (rel.)
14.9	5.957	34.7
29.2	3.061	78.3
30.8	2.907	100.0
31.7	2.822	32.7
33.8	2.654	33.6
36.8	2.445	33.4
38.9	2.318	56.0
43.2	2.094	36.7

Cell lengths 11.182, 11.913, 4.636 Å; angles 90.00, 90.00, 90.00 degrees
Positions (direct):
Sr (0.050, 0.151, 0.000)
Sr (0.179, 0.427, 0.500)
Sr (0.321, 0.927, 0.000)
Sr (0.450, 0.651, 0.500)
Sr (0.550, 0.349, 0.500)
Sr (0.679, 0.073, 0.000)
Sr (0.821, 0.573, 0.500)
Sr (0.950, 0.849, 0.000)
Li (0.139, 0.715, 0.500)
Li (0.361, 0.215, 0.000)
Li (0.639, 0.785, 0.000)
Li (0.861, 0.285, 0.500)
Ge (0.032, 0.601, 0.000)
Ge (0.110, 0.958, 0.500)
Ge (0.246, 0.137, 0.500)
Ge (0.254, 0.637, 0.000)
Ge (0.390, 0.458, 0.000)
Ge (0.468, 0.101, 0.500)
Ge (0.532, 0.899, 0.500)
Ge (0.610, 0.542, 0.000)
Ge (0.746, 0.363, 0.000)
Ge (0.754, 0.863, 0.500)
Ge (0.890, 0.042, 0.500)
Ge (0.968, 0.399, 0.000)

# 7
Structure and computed XRD peak list of Sr2LiGe3 (a cell relaxed with PBE; Cu Kα).

Main lines, in order of rising 2θ (2θ = 5–70°):
Position (°2θ)	d [Å]	I (rel.)
30.6	2.926	100.0
39.1	2.302	16.4
41.3	2.188	42.7
52.2	1.752	21.7
58.2	1.586	30.1
65.6	1.422	10.6
68.6	1.368	12.7
68.7	1.366	6.3

Cell lengths 11.931, 10.193, 8.756 Å; angles 77.64, 56.56, 45.79 degrees
Positions (direct):
Sr (0.001, 0.001, 0.249)
Sr (0.249, 0.249, 0.001)
Sr (0.253, 0.253, 0.497)
Sr (0.497, 0.497, 0.253)
Sr (0.503, 0.503, 0.747)
Sr (0.747, 0.747, 0.503)
Sr (0.751, 0.751, 0.999)
Sr (0.999, 0.999, 0.751)
Li (0.042, 0.708, 0.042)
Li (0.292, 0.958, 0.292)
Li (0.708, 0.042, 0.708)
Li (0.958, 0.292, 0.958)
Ge (0.046, 0.710, 0.537)
Ge (0.207, 0.537, 0.710)
Ge (0.208, 0.542, 0.208)
Ge (0.290, 0.954, 0.793)
Ge (0.458, 0.792, 0.458)
Ge (0.463, 0.793, 0.954)
Ge (0.537, 0.207, 0.046)
Ge (0.542, 0.208, 0.542)
Ge (0.710, 0.046, 0.207)
Ge (0.792, 0.458, 0.792)
Ge (0.793, 0.463, 0.290)
Ge (0.954, 0.290, 0.463)

# 8
Structure and computed XRD peak list of Sr2LiGe3 (a cell relaxed with PBE; Cu Kα).

Main lines, in order of rising 2θ (2θ = 5–70°):
Position (°2θ)	d [Å]	I (rel.)
30.5	2.929	100.0
39.0	2.311	16.6
41.1	2.195	14.3
41.4	2.183	28.1
52.1	1.755	14.5
58.0	1.591	10.2
58.1	1.587	20.2
65.4	1.427	10.9

Cell lengths 8.851, 8.732, 6.373 Å; angles 69.75, 67.75, 42.50 degrees
Positions (direct):
Sr (0.243, 0.757, 0.243)
Sr (0.250, 0.250, 0.250)
Sr (0.750, 0.750, 0.750)
Sr (0.757, 0.243, 0.757)
Li (0.334, 0.334, 0.666)
Li (0.666, 0.666, 0.334)
Ge (0.166, 0.166, 0.834)
Ge (0.168, 0.666, 0.832)
Ge (0.334, 0.832, 0.666)
Ge (0.666, 0.168, 0.334)
Ge (0.832, 0.334, 0.168)
Ge (0.834, 0.834, 0.166)

# 9
Structure and computed XRD peak list of LiGeTe2 (a cell relaxed with PBE; Cu Kα).

Main lines, in order of rising 2θ (2θ = 5–70°):
Position (°2θ)	d [Å]	I (rel.)
23.8	3.737	71.1
24.6	3.622	54.2
25.7	3.460	35.0
26.0	3.422	29.5
28.3	3.153	49.5
29.4	3.042	100.0
43.4	2.087	24.5
48.4	1.879	22.7

Cell lengths 7.343, 9.250, 11.480 Å; angles 75.69, 77.10, 70.62 degrees
Positions (direct):
Li (0.000, 0.000, 0.000)
Li (0.009, 0.347, 0.690)
Li (0.473, 0.320, 0.179)
Li (0.500, 0.000, 0.500)
Li (0.527, 0.680, 0.821)
Li (0.991, 0.653, 0.310)
Ge (0.038, 0.040, 0.293)
Ge (0.047, 0.742, 0.597)
Ge (0.066, 0.611, 0.950)
Ge (0.934, 0.389, 0.050)
Ge (0.953, 0.258, 0.403)
Ge (0.962, 0.960, 0.707)
Te (0.245, 0.333, 0.428)
Te (0.249, 0.150, 0.093)
Te (0.257, 0.012, 0.753)
Te (0.267, 0.667, 0.080)
Te (0.274, 0.520, 0.743)
Te (0.301, 0.799, 0.399)
Te (0.699, 0.201, 0.601)
Te (0.726, 0.480, 0.257)
Te (0.733, 0.333, 0.920)
Te (0.743, 0.988, 0.247)
Te (0.751, 0.850, 0.907)
Te (0.755, 0.667, 0.572)